Record 1
Starting from a crystal structure in Alexandria, relaxed with PBE, the powder X-ray diffraction pattern of Na2SnB2O6 was computed for Cu Kα X-rays.
Kinematic intensities with the Lorentz-polarization factor, no thermal factor.

Cell: 5.0984 5.0984 6.0432 Å, 90.00 90.00 120.00°
Element x y z (fractional)
Na 0.3333 0.6667 0.3499
Na 0.6667 0.3333 0.6501
Sn 0.0000 0.0000 0.0000
B 0.3333 0.6667 0.8137
B 0.6667 0.3333 0.1863
O 0.0946 0.7233 0.7993
O 0.2767 0.3713 0.7993
O 0.3713 0.0946 0.2007
O 0.6287 0.9054 0.7993
O 0.7233 0.6287 0.2007
O 0.9054 0.2767 0.2007

Most intense lines, 2θ from 10° to 90°, low angle first:
14.66°, rel. 59.4, hkl 0 0 1
20.11°, rel. 34.4, hkl 1 0 0
24.98°, rel. 100.0, hkl 1 0 1
35.21°, rel. 26.1, hkl 1 1 0
36.02°, rel. 50.9, hkl 1 0 2
43.65°, rel. 27.6, hkl 2 0 1

***

Record 2
Starting from a crystal structure in Alexandria, relaxed with PBE, the powder X-ray diffraction pattern of Na2Y2B2TeO10 was computed for Cu Kα X-rays.
Kinematic intensities with the Lorentz-polarization factor, no thermal factor.

Cell: 6.3671 10.0734 6.8147 Å, 90.00 103.80 90.00°
Element x y z (fractional)
Na 0.0876 0.1115 0.1680
Na 0.0876 0.3885 0.6680
Na 0.9124 0.6115 0.3320
Na 0.9124 0.8885 0.8320
Y 0.3736 0.6661 0.9769
Y 0.3736 0.8339 0.4769
Y 0.6264 0.1661 0.5231
Y 0.6264 0.3339 0.0231
B 0.1629 0.0994 0.6308
B 0.1629 0.4006 0.1308
B 0.8371 0.5994 0.8692
B 0.8371 0.9006 0.3692
Te 0.5000 0.0000 0.0000
Te 0.5000 0.5000 0.5000
O 0.0181 0.6728 0.9387
O 0.0181 0.8272 0.4387
O 0.2078 0.0596 0.8378
O 0.2078 0.4404 0.3378
O 0.2993 0.0616 0.5110
O 0.2993 0.4384 0.0110
O 0.3403 0.6169 0.6360
O 0.3403 0.8831 0.1360
O 0.4920 0.1498 0.1771
O 0.4920 0.3502 0.6771
O 0.5080 0.6498 0.3229
O 0.5080 0.8502 0.8229
O 0.6597 0.1169 0.8640
O 0.6597 0.3831 0.3640
O 0.7007 0.5616 0.9890
O 0.7007 0.9384 0.4890
O 0.7922 0.5596 0.6622
O 0.7922 0.9404 0.1622
O 0.9819 0.1728 0.5613
O 0.9819 0.3272 0.0613

Most intense lines, 2θ from 10° to 90°, low angle first:
14.32°, rel. 100.0, hkl 1 0 0
26.94°, rel. 38.6, hkl 0 0 2
27.37°, rel. 23.6, hkl 1 0 -2
29.84°, rel. 60.5, hkl 0 3 1
30.22°, rel. 37.3, hkl 2 1 0
31.77°, rel. 38.9, hkl 1 3 -1

***

Record 3
Starting from a crystal structure in Alexandria, relaxed with PBE, the powder X-ray diffraction pattern of NaTl2B2O6 was computed for Cu Kα X-rays.
Kinematic intensities with the Lorentz-polarization factor, no thermal factor.

Cell: 5.3106 5.3295 6.3859 Å, 70.28 69.25 62.01°
Element x y z (fractional)
Na 0.0000 0.0000 0.0000
Tl 0.3065 0.2716 0.2854
Tl 0.6935 0.7284 0.7146
B 0.3403 0.3936 0.7550
B 0.6597 0.6064 0.2450
O 0.1226 0.6696 0.7538
O 0.3158 0.1860 0.6825
O 0.4163 0.6844 0.1648
O 0.5837 0.3156 0.8352
O 0.6842 0.8140 0.3175
O 0.8774 0.3304 0.2462

Most intense lines, 2θ from 10° to 90°, low angle first:
21.30°, rel. 100.0, hkl 1 1 0
21.96°, rel. 91.1, hkl 0 1 1
27.03°, rel. 72.4, hkl 0 1 -1
27.51°, rel. 64.2, hkl 1 0 -1
30.61°, rel. 70.4, hkl 0 0 2
32.69°, rel. 80.9, hkl 1 -1 0

***

Please write out number 3 again, unchanged.
Starting from a crystal structure in Alexandria, relaxed with PBE, the powder X-ray diffraction pattern of NaTl2B2O6 was computed for Cu Kα X-rays.
Kinematic intensities with the Lorentz-polarization factor, no thermal factor.

Cell: 5.3106 5.3295 6.3859 Å, 70.28 69.25 62.01°
Element x y z (fractional)
Na 0.0000 0.0000 0.0000
Tl 0.3065 0.2716 0.2854
Tl 0.6935 0.7284 0.7146
B 0.3403 0.3936 0.7550
B 0.6597 0.6064 0.2450
O 0.1226 0.6696 0.7538
O 0.3158 0.1860 0.6825
O 0.4163 0.6844 0.1648
O 0.5837 0.3156 0.8352
O 0.6842 0.8140 0.3175
O 0.8774 0.3304 0.2462

Most intense lines, 2θ from 10° to 90°, low angle first:
21.30°, rel. 100.0, hkl 1 1 0
21.96°, rel. 91.1, hkl 0 1 1
27.03°, rel. 72.4, hkl 0 1 -1
27.51°, rel. 64.2, hkl 1 0 -1
30.61°, rel. 70.4, hkl 0 0 2
32.69°, rel. 80.9, hkl 1 -1 0

***

Repeat the first record exactly.
Starting from a crystal structure in Alexandria, relaxed with PBE, the powder X-ray diffraction pattern of Na2SnB2O6 was computed for Cu Kα X-rays.
Kinematic intensities with the Lorentz-polarization factor, no thermal factor.

Cell: 5.0984 5.0984 6.0432 Å, 90.00 90.00 120.00°
Element x y z (fractional)
Na 0.3333 0.6667 0.3499
Na 0.6667 0.3333 0.6501
Sn 0.0000 0.0000 0.0000
B 0.3333 0.6667 0.8137
B 0.6667 0.3333 0.1863
O 0.0946 0.7233 0.7993
O 0.2767 0.3713 0.7993
O 0.3713 0.0946 0.2007
O 0.6287 0.9054 0.7993
O 0.7233 0.6287 0.2007
O 0.9054 0.2767 0.2007

Most intense lines, 2θ from 10° to 90°, low angle first:
14.66°, rel. 59.4, hkl 0 0 1
20.11°, rel. 34.4, hkl 1 0 0
24.98°, rel. 100.0, hkl 1 0 1
35.21°, rel. 26.1, hkl 1 1 0
36.02°, rel. 50.9, hkl 1 0 2
43.65°, rel. 27.6, hkl 2 0 1